Starting from the GGA-PBE geometry in OQMD, the powder diffractogram of InCuRe was simulated for Cu Kα X-rays.
Peak positions follow from Bragg's law for the DFT cell and can differ from measured ones.

Peak list (6 most intense, 10 to 80 degrees two-theta, most intense first)
41.18 deg, d 2.192, I = 100; 24.87 deg, d 3.580, I = 66; 75.05 deg, d 1.266, I = 33; 48.71 deg, d 1.869, I = 33; 59.65 deg, d 1.550, I = 16; 65.63 deg, d 1.422, I = 14

Crystal structure
Cell lengths 6.2004, 6.2004, 6.2004 Å; angles 90.00, 90.00, 90.00 degrees
Fractional coordinates of all 12 atoms:
1 In 0.0000 0.0000 0.0000
2 In 0.0000 0.5000 0.5000
3 In 0.5000 0.0000 0.5000
4 In 0.5000 0.5000 0.0000
5 Cu 0.0000 0.0000 0.5000
6 Cu 0.0000 0.5000 0.0000
7 Cu 0.5000 0.0000 0.0000
8 Cu 0.5000 0.5000 0.5000
9 Re 0.2500 0.2500 0.7500
10 Re 0.2500 0.7500 0.2500
11 Re 0.7500 0.2500 0.2500
12 Re 0.7500 0.7500 0.7500



Starting from the GGA-PBE geometry in OQMD, the powder diffractogram of BaHgSeO was simulated for Cu Kα X-rays.
Peak positions follow from Bragg's law for the DFT cell and can differ from measured ones.

Peak list (10 most intense, 10 to 80 degrees two-theta, most intense first)
27.59 deg, d 3.233, I = 100; 28.56 deg, d 3.125, I = 89; 34.16 deg, d 2.625, I = 56; 25.38 deg, d 3.509, I = 47; 27.44 deg, d 3.251, I = 32; 20.10 deg, d 4.418, I = 31; 25.16 deg, d 3.540, I = 30; 15.16 deg, d 5.843, I = 27; 47.27 deg, d 1.923, I = 24; 52.92 deg, d 1.730, I = 23

Crystal structure
Cell lengths 6.7505, 8.2146, 8.3136 Å; angles 90.00, 90.00, 90.00 degrees
Fractional coordinates of all 16 atoms:
1 Ba 0.2048 0.0870 0.4855
2 Ba 0.2952 0.9130 0.9855
3 Ba 0.7048 0.4130 0.5145
4 Ba 0.7952 0.5870 0.0145
5 Hg 0.1513 0.6693 0.3696
6 Hg 0.3487 0.3307 0.8696
7 Hg 0.6513 0.8307 0.6304
8 Hg 0.8487 0.1693 0.1304
9 Se 0.0628 0.6993 0.6612
10 Se 0.4372 0.3007 0.1612
11 Se 0.5628 0.8007 0.3388
12 Se 0.9372 0.1993 0.8388
13 O 0.1030 0.6991 0.1253
14 O 0.3970 0.3009 0.6253
15 O 0.6030 0.8009 0.8747
16 O 0.8970 0.1991 0.3747



Starting from the GGA-PBE geometry in OQMD, the powder diffractogram of Na2Hg2Te3 was simulated for Cu Kα X-rays.
Peak positions follow from Bragg's law for the DFT cell and can differ from measured ones.

Peak list (10 most intense, 10 to 80 degrees two-theta, most intense first)
30.54 deg, d 2.927, I = 100; 36.32 deg, d 2.474, I = 83; 13.53 deg, d 6.545, I = 37; 61.78 deg, d 1.502, I = 25; 50.26 deg, d 1.815, I = 23; 19.18 deg, d 4.628, I = 20; 75.47 deg, d 1.260, I = 15; 43.74 deg, d 2.070, I = 14; 65.34 deg, d 1.428, I = 14; 48.16 deg, d 1.889, I = 14

Crystal structure
Cell lengths 8.0159, 8.0159, 8.0159 Å; angles 109.47, 109.47, 109.47 degrees
Fractional coordinates of all 14 atoms:
1 Na 0.0000 0.3434 0.5000
2 Na 0.1566 0.1566 0.1566
3 Na 0.3434 0.5000 0.0000
4 Na 0.5000 0.0000 0.3434
5 Hg 0.0000 0.8551 0.5000
6 Hg 0.5000 0.0000 0.8551
7 Hg 0.6449 0.6449 0.6449
8 Hg 0.8551 0.5000 0.0000
9 Te 0.1230 0.7500 0.8730
10 Te 0.2500 0.6270 0.3770
11 Te 0.3770 0.2500 0.6270
12 Te 0.6270 0.3770 0.2500
13 Te 0.7500 0.8730 0.1230
14 Te 0.8730 0.1230 0.7500



Starting from the GGA-PBE geometry in OQMD, the powder diffractogram of Gd2Al5Hg was simulated for Cu Kα X-rays.
Peak positions follow from Bragg's law for the DFT cell and can differ from measured ones.

Peak list (10 most intense, 10 to 80 degrees two-theta, most intense first)
37.49 deg, d 2.399, I = 100; 25.13 deg, d 3.544, I = 72; 38.17 deg, d 2.358, I = 39; 27.36 deg, d 3.260, I = 33; 38.71 deg, d 2.326, I = 29; 16.21 deg, d 5.469, I = 27; 15.82 deg, d 5.600, I = 26; 71.92 deg, d 1.313, I = 25; 31.96 deg, d 2.800, I = 25; 32.75 deg, d 2.735, I = 18

Crystal structure
Cell lengths 4.6528, 6.5197, 10.9381 Å; angles 90.00, 90.00, 90.00 degrees
Fractional coordinates of all 16 atoms:
1 Gd 0.0000 0.0000 0.0000
2 Gd 0.0000 0.5000 0.5000
3 Gd 0.5000 0.0000 0.3189
4 Gd 0.5000 0.5000 0.8189
5 Al 0.0000 0.0000 0.5089
6 Al 0.0000 0.2147 0.7278
7 Al 0.0000 0.2853 0.2278
8 Al 0.0000 0.5000 0.0089
9 Al 0.0000 0.7147 0.2278
10 Al 0.0000 0.7853 0.7278
11 Al 0.5000 0.2169 0.5805
12 Al 0.5000 0.2831 0.0805
13 Al 0.5000 0.7169 0.0805
14 Al 0.5000 0.7831 0.5805
15 Hg 0.5000 0.0000 0.8182
16 Hg 0.5000 0.5000 0.3182